Entry 1:
Simulated PXRD pattern of V4Tc3Os2 for Cu Kα, from the GGA-PBE geometry in Alexandria.

Top 6 peaks for 15 to 90 degrees two-theta, by angle:
Position (°2θ)	I (rel.)
23.97	5.2
26.54	16.8
33.16	13.8
42.16	100.0
61.14	16.3
77.06	32.0

Structure:
Unit cell a=4.287 b=4.287 c=7.877 alpha=90.00 beta=90.00 gamma=120.00
Fractional positions:
V  0.000  0.000  0.162
V  0.000  0.000  0.838
V  0.333  0.667  0.390
V  0.667  0.333  0.610
Tc  0.000  0.000  0.500
Tc  0.333  0.667  0.070
Tc  0.667  0.333  0.930
Os  0.333  0.667  0.717
Os  0.667  0.333  0.283

---

Entry 2:
Simulated PXRD pattern of KIBr2O for Cu Kα, from the GGA-PBE geometry in Alexandria.

Top 6 peaks for 15 to 90 degrees two-theta, by angle:
Position (°2θ)	I (rel.)
21.33	100.0
24.71	26.6
28.43	19.5
30.83	23.0
40.51	20.8
41.01	28.0

Structure:
Unit cell a=13.121 b=4.401 c=13.178 alpha=90.00 beta=101.31 gamma=90.00
Fractional positions:
K  0.167  0.000  0.356
K  0.274  0.500  0.839
K  0.726  0.500  0.161
K  0.833  0.000  0.644
I  0.000  0.000  0.000
I  0.000  0.500  0.500
I  0.500  0.000  0.000
I  0.500  0.500  0.500
Br  0.063  0.000  0.814
Br  0.210  0.500  0.571
Br  0.311  0.000  0.062
Br  0.386  0.500  0.297
Br  0.614  0.500  0.703
Br  0.689  0.000  0.938
Br  0.790  0.500  0.429
Br  0.937  0.000  0.186
O  0.253  0.500  0.298
O  0.419  0.000  0.859
O  0.581  0.000  0.141
O  0.747  0.500  0.702

---

Entry 3:
Simulated PXRD pattern of Bi2Sb2I for Cu Kα, from the GGA-PBE geometry in Alexandria.

Top 6 peaks for 15 to 90 degrees two-theta, by angle:
Position (°2θ)	I (rel.)
26.10	55.0
27.45	100.0
33.24	38.4
33.90	25.2
42.74	35.6
56.08	25.9

Structure:
Unit cell a=8.637 b=8.637 c=8.637 alpha=128.69 beta=128.69 gamma=75.52
Fractional positions:
Bi  0.277  0.000  0.277
Bi  0.723  0.000  0.723
Bi  0.750  0.527  0.777
Bi  0.750  0.973  0.223
Sb  0.000  0.215  0.785
Sb  0.430  0.215  0.215
Sb  0.965  0.250  0.285
Sb  0.965  0.680  0.715
I  0.243  0.743  0.500
I  0.493  0.493  0.000

---

Entry 4:
Simulated PXRD pattern of NaCr2Se4 for Cu Kα, from the GGA-PBE geometry in Alexandria.

Top 6 peaks for 15 to 90 degrees two-theta, by angle:
Position (°2θ)	I (rel.)
31.12	100.0
31.49	33.0
37.93	78.9
38.36	36.9
47.64	44.2
50.88	35.9

Structure:
Unit cell a=6.196 b=3.627 c=7.242 alpha=90.00 beta=90.38 gamma=90.00
Fractional positions:
Na  0.000  0.000  0.000
Cr  0.000  0.000  0.500
Cr  0.500  0.500  0.500
Se  0.164  0.500  0.302
Se  0.338  0.000  0.697
Se  0.662  0.000  0.303
Se  0.836  0.500  0.698

---

Entry 5:
Simulated PXRD pattern of Ac3HgAu5 for Cu Kα, from the GGA-PBE geometry in Alexandria.

Top 6 peaks for 15 to 90 degrees two-theta, by angle:
Position (°2θ)	I (rel.)
29.02	51.6
30.19	100.0
32.54	31.6
33.32	59.7
44.88	19.0
47.47	31.4

Structure:
Unit cell a=9.200 b=9.200 c=9.200 alpha=123.55 beta=123.55 gamma=83.95
Fractional positions:
Ac  0.138  0.638  0.777
Ac  0.250  0.250  0.000
Ac  0.362  0.138  0.500
Ac  0.638  0.862  0.500
Ac  0.750  0.750  0.000
Ac  0.862  0.362  0.223
Hg  0.250  0.750  0.500
Hg  0.750  0.250  0.500
Au  0.000  0.000  0.000
Au  0.040  0.151  0.500
Au  0.151  0.651  0.112
Au  0.349  0.460  0.500
Au  0.460  0.960  0.112
Au  0.500  0.500  0.000
Au  0.540  0.040  0.888
Au  0.651  0.540  0.500
Au  0.849  0.349  0.888
Au  0.960  0.849  0.500